Calculated PXRD pattern of Sc3TiNi4 for Cu Ka, from the PBE geometry in Alexandria.
Lines closer than 0.1° are merged.

Top 10 peaks for 2θ = 10–90°, low angle first:
(hkl)  Position (°2θ)  Rel. int.
1 0 0  28.55  4
1 0 3  35.81  2
1 0 4  40.68  100
1 1 0  40.81  53
0 0 8  58.67  6
2 0 0  59.09  16
1 1 8  73.93  12
2 1 4  74.21  29
2 0 8  88.07  7
2 2 0  88.43  5

```
data_Sc3TiNi4
_chemical_formula_sum 'Sc3 Ti1 Ni4'
_cell_length_a 3.127
_cell_length_b 3.127
_cell_length_c 12.589
_cell_angle_alpha 90.00
_cell_angle_beta 90.00
_cell_angle_gamma 90.00
_space_group_name_H-M_alt 'P 4/m m m'
_space_group_IT_number 123
_space_group_name_Hall '-P 4 2'
loop_
_atom_site_label
_atom_site_fract_x
_atom_site_fract_y
_atom_site_fract_z
_atom_site_occupancy
Sc1 0.000 0.000 0.000 1
Sc2 0.000 0.000 0.256 1
Ti1 0.000 0.000 0.500 1
Ni1 0.500 0.500 0.129 1
Ni2 0.500 0.500 0.394 1
```


Calculated PXRD pattern of Sc2TiNi3 for Cu Ka, from the PBE geometry in Alexandria.
Lines closer than 0.1° are merged.

Top 10 peaks for 2θ = 10–90°, low angle first:
(hkl)  Position (°2θ)  Rel. int.
0 2 0  12.89  7
0 6 0  39.37  24
1 3 1  41.03  100
2 0 0  41.61  26
2 6 0  58.62  13
0 0 2  60.20  8
1 9 1  72.51  8
3 3 1  75.54  14
2 0 2  75.84  8
2 6 2  88.99  7

```
data_Sc2TiNi3
_chemical_formula_sum 'Sc4 Ti2 Ni6'
_cell_length_a 4.340
_cell_length_b 13.731
_cell_length_c 3.074
_cell_angle_alpha 90.00
_cell_angle_beta 90.00
_cell_angle_gamma 90.00
_space_group_name_H-M_alt 'P m m n'
_space_group_IT_number 59
loop_
_space_group_symop_operation_xyz
'x,y,z'
'-x,-y,-z'
'-x+1/2,-y+1/2,z'
'x+1/2,y+1/2,-z'
'x+1/2,-y,-z'
'-x+1/2,y,z'
'-x,y+1/2,-z'
'x,-y+1/2,z'
loop_
_atom_site_label
_atom_site_fract_x
_atom_site_fract_y
_atom_site_fract_z
_atom_site_occupancy
Sc1 0.250 0.081 0.013 1
Ti1 0.250 0.750 0.990 1
Ni1 0.250 0.250 0.510 1
Ni2 0.250 0.609 0.488 1
```


Calculated PXRD pattern of Sc6TlNi2 for Cu Ka, from the PBE geometry in Alexandria.
Lines closer than 0.1° are merged.

Top 10 peaks for 2θ = 10–90°, low angle first:
(hkl)  Position (°2θ)  Rel. int.
0 0 2  18.87  36
0 2 0  19.66  29
2 0 0  20.14  53
1 1 2  23.60  44
2 2 2  34.23  100
2 1 3  36.55  26
1 3 2  36.89  80
2 3 1  37.42  35
4 0 0  40.95  56
1 3 4  50.31  24

```
data_Sc6TlNi2
_chemical_formula_sum 'Sc24 Tl4 Ni8'
_cell_length_a 8.816
_cell_length_b 9.031
_cell_length_c 9.406
_cell_angle_alpha 90.00
_cell_angle_beta 90.00
_cell_angle_gamma 90.00
_space_group_name_H-M_alt 'I m m m'
_space_group_IT_number 71
_space_group_name_Hall '-I 2 2'
loop_
_atom_site_label
_atom_site_fract_x
_atom_site_fract_y
_atom_site_fract_z
_atom_site_occupancy
Sc1 0.000 0.214 0.233 1
Sc2 0.201 0.500 0.176 1
Sc3 0.207 0.313 0.500 1
Tl1 0.000 0.000 0.000 1
Tl2 0.000 0.000 0.500 1
Ni1 0.000 0.357 0.000 1
Ni2 0.000 0.500 0.370 1
```


Calculated PXRD pattern of Sc4TlNi for Cu Ka, from the PBE geometry in Alexandria.
Lines closer than 0.1° are merged.

Top 10 peaks for 2θ = 10–90°, low angle first:
(hkl)  Position (°2θ)  Rel. int.
2 0 0  12.10  49
1 1 0  16.40  73
1 1 1  23.22  51
4 0 0  24.35  35
3 1 -1  24.74  43
4 0 -2  31.71  43
5 1 0  34.32  61
2 2 -1  34.69  100
1 1 2  35.43  57
6 0 -2  39.39  41

```
data_Sc4TlNi
_chemical_formula_sum 'Sc16 Tl4 Ni4'
_cell_length_a 15.413
_cell_length_b 5.819
_cell_length_c 6.432
_cell_angle_alpha 90.00
_cell_angle_beta 108.42
_cell_angle_gamma 90.00
_space_group_name_H-M_alt 'C 1 2/c 1'
_space_group_IT_number 15
loop_
_space_group_symop_operation_xyz
'x,y,z'
'-x,-y,-z'
'-x,y,-z+1/2'
'x,-y,z+1/2'
'x+1/2,y+1/2,z'
'-x+1/2,-y+1/2,-z'
'-x+1/2,y+1/2,-z+1/2'
'x+1/2,-y+1/2,z+1/2'
loop_
_atom_site_label
_atom_site_fract_x
_atom_site_fract_y
_atom_site_fract_z
_atom_site_occupancy
Sc1 0.091 0.116 0.472 1
Sc2 0.184 0.390 0.127 1
Tl1 0.000 0.395 0.750 1
Ni1 0.250 0.250 0.500 1
```


Calculated PXRD pattern of TmSc5Ni2 for Cu Ka, from the PBE geometry in Alexandria.
Lines closer than 0.1° are merged.

Top 10 peaks for 2θ = 10–90°, low angle first:
(hkl)  Position (°2θ)  Rel. int.
0 0 2  10.81  52
0 2 0  14.87  42
0 2 1  15.83  35
1 1 2  28.62  27
0 2 5  31.17  57
0 0 6  32.83  30
1 3 0  34.05  72
1 1 4  34.47  100
0 4 4  37.33  66
1 1 5  38.31  64

```
data_TmSc5Ni2
_chemical_formula_sum 'Tm4 Sc20 Ni8'
_cell_length_a 3.517
_cell_length_b 11.918
_cell_length_c 16.369
_cell_angle_alpha 90.00
_cell_angle_beta 90.00
_cell_angle_gamma 90.00
_space_group_name_H-M_alt 'C m c m'
_space_group_IT_number 63
_space_group_name_Hall '-C 2c 2'
loop_
_atom_site_label
_atom_site_fract_x
_atom_site_fract_y
_atom_site_fract_z
_atom_site_occupancy
Tm1 0.000 0.145 0.250 1
Sc1 0.000 0.121 0.750 1
Sc2 0.000 0.155 0.044 1
Sc3 0.000 0.445 0.102 1
Ni1 0.000 0.242 0.625 1
```


Calculated PXRD pattern of TmSc6Ni3 for Cu Ka, from the PBE geometry in Alexandria.
Lines closer than 0.1° are merged.

Top 10 peaks for 2θ = 10–90°, low angle first:
(hkl)  Position (°2θ)  Rel. int.
1 1 0  11.36  49
2 0 0  17.42  48
0 2 1  19.79  63
3 1 1  30.39  66
0 4 1  32.57  52
3 3 0  34.55  67
4 0 0  35.17  42
2 2 2  35.28  61
2 4 1  37.14  100
3 1 2  38.37  74

```
data_TmSc6Ni3
_chemical_formula_sum 'Tm4 Sc24 Ni12'
_cell_length_a 10.208
_cell_length_b 12.052
_cell_length_c 6.721
_cell_angle_alpha 90.00
_cell_angle_beta 90.00
_cell_angle_gamma 90.00
_space_group_name_H-M_alt 'C m c 21'
_space_group_IT_number 36
loop_
_space_group_symop_operation_xyz
'x,y,z'
'-x,-y,z+1/2'
'-x,y,z'
'x,-y,z+1/2'
'x+1/2,y+1/2,z'
'-x+1/2,-y+1/2,z+1/2'
'-x+1/2,y+1/2,z'
'x+1/2,-y+1/2,z+1/2'
loop_
_atom_site_label
_atom_site_fract_x
_atom_site_fract_y
_atom_site_fract_z
_atom_site_occupancy
Tm1 0.000 0.183 0.000 1
Sc1 0.000 0.272 0.536 1
Sc2 0.000 0.473 0.874 1
Sc3 0.171 0.040 0.379 1
Sc4 0.227 0.314 0.228 1
Ni1 0.000 0.076 0.664 1
Ni2 0.196 0.390 0.595 1
```


Calculated PXRD pattern of Tm3Sc7Ni4 for Cu Ka, from the PBE geometry in Alexandria.
Lines closer than 0.1° are merged.

Top 10 peaks for 2θ = 10–90°, low angle first:
(hkl)  Position (°2θ)  Rel. int.
2 0 -2  15.76  49
2 0 1  19.21  43
6 0 -3  30.78  27
3 1 0  30.97  40
4 0 -4  31.84  32
1 1 2  34.43  100
3 1 -3  34.76  44
5 1 -2  35.43  86
6 0 0  36.38  45
0 2 0  51.35  26

```
data_Tm3Sc7Ni4
_chemical_formula_sum 'Tm6 Sc14 Ni8'
_cell_length_a 18.100
_cell_length_b 3.559
_cell_length_c 11.262
_cell_angle_alpha 90.00
_cell_angle_beta 125.04
_cell_angle_gamma 90.00
_space_group_name_H-M_alt 'C 1 2/m 1'
_space_group_IT_number 12
loop_
_space_group_symop_operation_xyz
'x,y,z'
'-x,-y,-z'
'-x,y,-z'
'x,-y,z'
'x+1/2,y+1/2,z'
'-x+1/2,-y+1/2,-z'
'-x+1/2,y+1/2,-z'
'x+1/2,-y+1/2,z'
loop_
_atom_site_label
_atom_site_fract_x
_atom_site_fract_y
_atom_site_fract_z
_atom_site_occupancy
Tm1 0.000 0.000 0.000 1
Tm2 0.185 0.500 0.674 1
Sc1 0.000 0.000 0.500 1
Sc2 0.005 0.500 0.730 1
Sc3 0.163 0.000 0.393 1
Sc4 0.185 0.500 0.029 1
Ni1 0.130 0.000 0.817 1
Ni2 0.150 0.500 0.221 1
```


Calculated PXRD pattern of Tm2Sc3Ni4 for Cu Ka, from the PBE geometry in Alexandria.
Lines closer than 0.1° are merged.

Top 10 peaks for 2θ = 10–90°, low angle first:
(hkl)  Position (°2θ)  Rel. int.
1 1 0  18.45  78
1 2 1  33.53  63
2 1 -2  33.71  76
1 1 2  35.44  82
1 2 -2  36.23  39
2 2 -1  36.70  93
2 2 0  37.39  36
1 1 -3  39.66  57
3 0 0  40.73  41
0 3 1  41.02  100

```
data_Tm2Sc3Ni4
_chemical_formula_sum 'Tm4 Sc6 Ni8'
_cell_length_a 6.995
_cell_length_b 6.971
_cell_length_c 7.215
_cell_angle_alpha 90.00
_cell_angle_beta 108.21
_cell_angle_gamma 90.00
_space_group_name_H-M_alt 'P 1 21/c 1'
_space_group_IT_number 14
loop_
_space_group_symop_operation_xyz
'x,y,z'
'-x,-y,-z'
'-x,y+1/2,-z+1/2'
'x,-y+1/2,z+1/2'
loop_
_atom_site_label
_atom_site_fract_x
_atom_site_fract_y
_atom_site_fract_z
_atom_site_occupancy
Tm1 0.196 0.175 0.083 1
Sc1 0.243 0.669 0.249 1
Sc2 0.500 0.000 0.500 1
Ni1 0.086 0.537 0.873 1
Ni2 0.499 0.625 0.620 1
```


What is the formula in the second record?
Sc2TiNi3